Diffraction record for Li4V2P3O12. The X-ray diffraction stick pattern is simulated, not measured: it uses a DFT-relaxed cell (PBE+U, Alexandria) and Cu Ka.
Neutral-atom scattering factors, no anomalous dispersion.

The 10 most intense peaks (2θ from 15° to 90°), by angle:
2θ/deg  I (rel.)
19.83  16
20.25  43
23.35  100
23.77  39
28.43  16
28.55  29
30.98  14
32.23  23
34.31  17
54.49  12

Crystal structure
```
data_Li4V2P3O12
_cell_length_a 8.7840
_cell_length_b 8.7840
_cell_length_c 8.6078
_cell_angle_alpha 118.00
_cell_angle_beta 118.00
_cell_angle_gamma 62.43
_space_group_name_H-M_alt 'P 1'
_space_group_IT_number 1
loop_
_space_group_symop_operation_xyz
'x,y,z'
loop_
_atom_site_label
_atom_site_type_symbol
_atom_site_fract_x
_atom_site_fract_y
_atom_site_fract_z
Li1 Li 0.0720 0.6847 0.7001
Li2 Li 0.2866 0.2977 0.9393
Li3 Li 0.2977 0.2866 0.4393
Li4 Li 0.3153 0.9280 0.7999
Li5 Li 0.6847 0.0720 0.2001
Li6 Li 0.7023 0.7134 0.5607
Li7 Li 0.7134 0.7023 0.0607
Li8 Li 0.9280 0.3153 0.2999
V1 V 0.1401 0.6400 0.3578
V2 V 0.3600 0.8599 0.1422
V3 V 0.6400 0.1401 0.8578
V4 V 0.8599 0.3600 0.6422
P1 P 0.0553 0.2393 0.0373
P2 P 0.2393 0.0553 0.5373
P3 P 0.4659 0.5341 0.7500
P4 P 0.5341 0.4659 0.2500
P5 P 0.7607 0.9447 0.4627
P6 P 0.9447 0.7607 0.9627
O1 O 0.0316 0.3139 0.8939
O2 O 0.0716 0.2306 0.5304
O3 O 0.0913 0.3786 0.2405
O4 O 0.1120 0.7993 0.9926
O5 O 0.2007 0.8880 0.5074
O6 O 0.2306 0.0716 0.0304
O7 O 0.2774 0.5532 0.5928
O8 O 0.3139 0.0316 0.3939
O9 O 0.3762 0.4931 0.3002
O10 O 0.3786 0.0913 0.7405
O11 O 0.4468 0.7226 0.9072
O12 O 0.4931 0.3762 0.8002
O13 O 0.5069 0.6238 0.1998
O14 O 0.5532 0.2774 0.0928
O15 O 0.6214 0.9087 0.2595
O16 O 0.6238 0.5069 0.6998
O17 O 0.6861 0.9684 0.6061
O18 O 0.7226 0.4468 0.4072
O19 O 0.7694 0.9284 0.9696
O20 O 0.7993 0.1120 0.4926
O21 O 0.8880 0.2007 0.0074
O22 O 0.9087 0.6214 0.7595
O23 O 0.9284 0.7694 0.4696
O24 O 0.9684 0.6861 0.1061
```